Diffraction record for PmDy5Tm. The powder diffractogram is theoretical, not measured: it uses a DFT-relaxed cell (PBE, Alexandria) and Cu Kα X-rays.
Intensities are scaled so that the largest is 100.

Peak list (10 most intense, 15 to 90 degrees two-theta, sorted by position)
d [Å]  intensity
3.365  19
2.948  41
2.907  18
2.896  51
2.856  100
2.728  13
2.660  21
2.526  20
1.941  13
1.632  17

```
PmDy5Tm
1.0
5.8414 -3.3600 0.0000
5.8414 3.3600 0.0000
-4.3741 0.0000 11.4226
Pm Dy Tm
2 10 2
direct
0.0306 0.9694 0.7500
0.9694 0.0306 0.2500
0.1493 0.4136 0.7559
0.1859 0.6552 0.4990
0.3448 0.8141 0.0010
0.4098 0.5902 0.2500
0.4136 0.1493 0.2559
0.5864 0.8507 0.7441
0.5902 0.4098 0.7500
0.6552 0.1859 0.9990
0.8141 0.3448 0.5010
0.8507 0.5864 0.2441
0.0000 0.5000 0.0000
0.5000 0.0000 0.5000
```

***

Diffraction record for Pm2Dy3Tm4. The powder diffractogram is theoretical, not measured: it uses a DFT-relaxed cell (PBE, Alexandria) and Cu Kα X-rays.
Intensities are scaled so that the largest is 100.

Peak list (10 most intense, 15 to 90 degrees two-theta, sorted by position)
d [Å]  intensity
3.124  12
2.935  58
2.883  100
2.798  93
2.381  31
2.355  26
1.804  13
1.770  11
1.634  19
1.572  12

```
Pm2Dy3Tm4
1.0
8.1097 -5.7571 0.0000
8.1097 5.7571 0.0000
-0.6532 0.0000 6.0563
Pm Dy Tm
4 6 8
direct
0.0207 0.7319 0.6777
0.2681 0.9793 0.8223
0.7319 0.0207 0.1777
0.9793 0.2681 0.3223
0.0974 0.9026 0.2500
0.2383 0.4330 0.4007
0.4330 0.2383 0.9007
0.5670 0.7617 0.0993
0.7617 0.5670 0.5993
0.9026 0.0974 0.7500
0.0781 0.3552 0.8486
0.3139 0.5943 0.9840
0.3552 0.0781 0.3486
0.4057 0.6861 0.5160
0.5943 0.3139 0.4840
0.6448 0.9219 0.6514
0.6861 0.4057 0.0160
0.9219 0.6448 0.1514
```

***

Diffraction record for Pm2Dy2Tm5. The powder diffractogram is theoretical, not measured: it uses a DFT-relaxed cell (PBE, Alexandria) and Cu Kα X-rays.
Intensities are scaled so that the largest is 100.

Peak list (10 most intense, 15 to 90 degrees two-theta, sorted by position)
d [Å]  intensity
2.885  100
2.507  17
2.494  34
1.770  12
1.766  18
1.511  11
1.508  7
1.505  18
1.503  7
1.443  9

```
Pm2Dy2Tm5
1.0
3.5294 0.0000 0.0000
1.7596 7.7216 0.0000
0.0123 2.3876 10.3008
Pm Dy Tm
2 2 5
direct
0.1651 0.1686 0.3875
0.8349 0.8314 0.6125
0.4984 0.5029 0.1650
0.5016 0.4971 0.8350
0.1661 0.1656 0.0544
0.1678 0.1672 0.7244
0.5000 0.5000 0.5000
0.8322 0.8328 0.2756
0.8339 0.8344 0.9456
```

***

Which formula does entry 2 have?
Pm2Dy3Tm4